[1]
This entry pairs a crystal structure of Ta5Nb7 with its computed powder diffractogram. Radiation: Cu Kα X-rays. Structure: a crystal structure in Alexandria, relaxed with PBE.
Intensities are scaled so that the largest is 100.

Atomic structure:
```
data_Ta5Nb7
_chemical_formula_sum 'Ta10 Nb14'
_symmetry_space_group_name_H-M 'C m m m'
_symmetry_Int_Tables_number 65
_symmetry_space_group_name_Hall '-C 2 2'
_cell_length_a 6.6077
_cell_length_b 20.0206
_cell_length_c 3.3073
_cell_angle_alpha 90.00
_cell_angle_beta 90.00
_cell_angle_gamma 90.00
loop_
_atom_site_label
_atom_site_fract_x
_atom_site_fract_y
_atom_site_fract_z
_atom_site_occupancy
Ta1 0.0000 0.0000 0.0000 1
Ta2 0.0000 0.1653 0.0000 1
Ta3 0.2500 0.2500 0.5000 1
Nb1 0.0000 0.3330 0.0000 1
Nb2 0.0000 0.5000 0.0000 1
Nb3 0.2487 0.4166 0.5000 1
```

Largest 10 diffraction maxima, sorted by position, 2θ from 15° to 90°:
2theta  I_rel  index
28.44  3  2 2 0
30.56  2  1 1 1
38.33  100  2 6 0
38.52  49  2 0 1
55.04  9  0 12 0
55.61  17  4 0 0
69.18  17  2 12 1
69.55  34  4 6 1
82.08  11  4 12 0
82.55  5  4 0 2


[2]
This entry pairs a crystal structure of TePt2S6 with its computed powder diffractogram. Radiation: Cu Kα X-rays. Structure: a crystal structure in Alexandria, relaxed with PBE.
Intensities are scaled so that the largest is 100.

Atomic structure:
```
data_TePt2S6
_chemical_formula_sum 'Te1 Pt2 S6'
_symmetry_space_group_name_H-M 'P -3 1 m'
_symmetry_Int_Tables_number 162
_symmetry_space_group_name_Hall '-P 3 2'
_cell_length_a 6.2851
_cell_length_b 6.2851
_cell_length_c 6.3183
_cell_angle_alpha 90.00
_cell_angle_beta 90.00
_cell_angle_gamma 120.00
loop_
_atom_site_label
_atom_site_fract_x
_atom_site_fract_y
_atom_site_fract_z
_atom_site_occupancy
Te1 0.0000 0.0000 0.0000 1
Pt1 0.3333 0.6667 0.0000 1
S1 0.0000 0.3634 0.2151 1
```

Largest 10 diffraction maxima, sorted by position, 2θ from 15° to 90°:
2theta  I_rel  index
28.40  42  1 1 0
31.80  100  2 -1 1
40.49  70  2 -1 2
50.29  24  3 0 0
52.29  31  1 1 3
52.47  28  3 0 1
58.72  15  2 2 0
60.74  16  2 2 1
66.46  15  2 2 2
87.80  15  5 -1 2


[3]
This entry pairs a crystal structure of LaTb2Sm2Dy2 with its computed powder diffractogram. Radiation: Cu Kα X-rays. Structure: a crystal structure in Alexandria, relaxed with PBE.
Intensities are scaled so that the largest is 100.

Atomic structure:
```
data_LaTb2Sm2Dy2
_chemical_formula_sum 'La2 Tb4 Sm4 Dy4'
_symmetry_space_group_name_H-M 'I m m m'
_symmetry_Int_Tables_number 71
_symmetry_space_group_name_Hall '-I 2 2'
_cell_length_a 3.4946
_cell_length_b 5.3623
_cell_length_c 24.8731
_cell_angle_alpha 90.00
_cell_angle_beta 90.00
_cell_angle_gamma 90.00
loop_
_atom_site_label
_atom_site_fract_x
_atom_site_fract_y
_atom_site_fract_z
_atom_site_occupancy
La1 0.0000 0.0000 0.0000 1
Tb1 0.0000 0.5000 0.0782 1
Sm1 0.0000 0.5000 0.2133 1
Dy1 0.0000 0.5000 0.3591 1
```

Largest 10 diffraction maxima, sorted by position, 2θ from 15° to 90°:
2theta  I_rel  index
30.17  100  0 1 7
30.53  55  1 1 0
31.39  14  1 1 2
33.42  39  0 2 0
33.84  18  1 1 4
36.05  35  1 0 7
49.97  28  1 2 7
57.74  16  0 3 7
61.00  13  1 1 14
61.63  26  2 1 7


[4]
This entry pairs a crystal structure of K5In2F12 with its computed powder diffractogram. Radiation: Cu Kα X-rays. Structure: a crystal structure in Alexandria, relaxed with PBE.
Intensities are scaled so that the largest is 100.

Atomic structure:
```
data_K5In2F12
_chemical_formula_sum 'K10 In4 F24'
_symmetry_space_group_name_H-M 'C 1 2/m 1'
_symmetry_Int_Tables_number 12
_cell_length_a 12.9078
_cell_length_b 8.3076
_cell_length_c 7.8705
_cell_angle_alpha 90.00
_cell_angle_beta 124.12
_cell_angle_gamma 90.00
loop_
_symmetry_equiv_pos_as_xyz
'x,y,z'
'-x,-y,-z'
'-x,y,-z'
'x,-y,z'
'x+1/2,y+1/2,z'
'-x+1/2,-y+1/2,-z'
'-x+1/2,y+1/2,-z'
'x+1/2,-y+1/2,z'
loop_
_atom_site_label
_atom_site_fract_x
_atom_site_fract_y
_atom_site_fract_z
_atom_site_occupancy
K1 0.0000 0.0000 0.0000 1
K2 0.1904 0.5000 0.9863 1
K3 0.2445 0.5000 0.5086 1
In1 0.0000 0.2225 0.5000 1
F1 0.0136 0.5000 0.3878 1
F2 0.0497 0.2055 0.2857 1
F3 0.1138 0.0000 0.6451 1
F4 0.1878 0.3004 0.7246 1
```

Largest 10 diffraction maxima, sorted by position, 2θ from 15° to 90°:
2theta  I_rel  index
16.59  55  2 0 0
25.43  62  0 2 1
25.87  58  2 2 -1
26.87  44  3 1 -2
27.20  100  2 2 0
27.38  39  0 0 2
28.99  39  4 0 -2
31.34  55  2 2 -2
33.55  42  4 0 0
34.60  41  2 2 1


[5]
This entry pairs a crystal structure of HoTh4Pt5 with its computed powder diffractogram. Radiation: Cu Kα X-rays. Structure: a crystal structure in Alexandria, relaxed with PBE.
Intensities are scaled so that the largest is 100.

Atomic structure:
```
data_HoTh4Pt5
_chemical_formula_sum 'Ho2 Th8 Pt10'
_symmetry_space_group_name_H-M 'I 4'
_symmetry_Int_Tables_number 79
_cell_length_a 9.3288
_cell_length_b 9.3288
_cell_length_c 5.9034
_cell_angle_alpha 90.00
_cell_angle_beta 90.00
_cell_angle_gamma 90.00
loop_
_symmetry_equiv_pos_as_xyz
'x,y,z'
'-y,x,z'
'-x,-y,z'
'y,-x,z'
'x+1/2,y+1/2,z+1/2'
'-y+1/2,x+1/2,z+1/2'
'-x+1/2,-y+1/2,z+1/2'
'y+1/2,-x+1/2,z+1/2'
loop_
_atom_site_label
_atom_site_fract_x
_atom_site_fract_y
_atom_site_fract_z
_atom_site_occupancy
Ho1 0.0000 0.0000 0.0000 1
Th1 0.0978 0.7004 0.5005 1
Pt1 0.0000 0.0000 0.5001 1
Pt2 0.0998 0.7013 0.0006 1
```

Largest 7 diffraction maxima, sorted by position, 2θ from 15° to 90°:
2theta  I_rel  index
26.16  1  1 2 1
30.29  100  3 1 0
43.37  76  3 1 2
53.81  27  2 4 2
63.01  13  0 0 4
71.50  36  6 2 2
79.58  27  5 5 2


[6]
This entry pairs a crystal structure of PmAl2Zn10 with its computed powder diffractogram. Radiation: Cu Kα X-rays. Structure: a crystal structure in Alexandria, relaxed with PBE.
Intensities are scaled so that the largest is 100.

Atomic structure:
```
data_PmAl2Zn10
_chemical_formula_sum 'Pm4 Al8 Zn40'
_symmetry_space_group_name_H-M 'F m m m'
_symmetry_Int_Tables_number 69
_symmetry_space_group_name_Hall '-F 2 2'
_cell_length_a 5.4211
_cell_length_b 12.5106
_cell_length_c 12.5552
_cell_angle_alpha 90.00
_cell_angle_beta 90.00
_cell_angle_gamma 90.00
loop_
_atom_site_label
_atom_site_fract_x
_atom_site_fract_y
_atom_site_fract_z
_atom_site_occupancy
Pm1 0.0000 0.0000 0.0000 1
Al1 0.2500 0.2500 0.0000 1
Zn1 0.0000 0.1072 0.3906 1
Zn2 0.0000 0.1775 0.1778 1
Zn3 0.2500 0.0000 0.2500 1
```

Largest 10 diffraction maxima, sorted by position, 2θ from 15° to 90°:
2theta  I_rel  index
27.88  35  1 1 3
33.05  50  2 0 0
34.58  85  1 3 3
38.95  100  2 2 2
40.23  89  1 1 5
40.35  88  1 5 1
40.73  73  0 4 4
44.18  46  2 0 4
63.95  43  3 5 1
72.94  32  2 6 6


[7]
This entry pairs a crystal structure of SnMoAs2 with its computed powder diffractogram. Radiation: Cu Kα X-rays. Structure: a crystal structure in Alexandria, relaxed with PBE.
Intensities are scaled so that the largest is 100.

Atomic structure:
```
data_SnMoAs2
_chemical_formula_sum 'Sn3 Mo3 As6'
_symmetry_space_group_name_H-M 'R 3 m'
_symmetry_Int_Tables_number 160
_symmetry_space_group_name_Hall 'R 3 -2"'
_cell_length_a 3.4171
_cell_length_b 3.4171
_cell_length_c 23.9704
_cell_angle_alpha 90.00
_cell_angle_beta 90.00
_cell_angle_gamma 120.00
loop_
_atom_site_label
_atom_site_fract_x
_atom_site_fract_y
_atom_site_fract_z
_atom_site_occupancy
Sn1 0.0000 0.0000 0.0000 1
Mo1 0.0000 0.0000 0.1635 1
As1 0.0000 0.0000 0.5662 1
As2 0.0000 0.0000 0.7610 1
```

Largest 10 diffraction maxima, sorted by position, 2θ from 15° to 90°:
2theta  I_rel  index
30.43  18  1 0 1
31.13  28  0 1 2
33.78  20  1 0 4
35.65  100  0 1 5
40.28  45  1 0 7
45.40  14  0 0 12
48.90  14  1 0 10
53.64  41  1 1 0
66.09  16  2 0 5
72.85  21  1 1 12


[8]
This entry pairs a crystal structure of SrSm2BiO6 with its computed powder diffractogram. Radiation: Cu Kα X-rays. Structure: a crystal structure in Alexandria, relaxed with PBE.
Intensities are scaled so that the largest is 100.

Atomic structure:
```
data_SrSm2BiO6
_chemical_formula_sum 'Sr3 Sm6 Bi3 O18'
_symmetry_space_group_name_H-M 'R 3'
_symmetry_Int_Tables_number 146
_symmetry_space_group_name_Hall 'R 3'
_cell_length_a 6.0669
_cell_length_b 6.0669
_cell_length_c 15.7245
_cell_angle_alpha 90.00
_cell_angle_beta 90.00
_cell_angle_gamma 120.00
loop_
_atom_site_label
_atom_site_fract_x
_atom_site_fract_y
_atom_site_fract_z
_atom_site_occupancy
Sr1 0.0000 0.0000 0.0000 1
Sm1 0.0000 0.0000 0.2725 1
Sm2 0.0000 0.0000 0.7768 1
Bi1 0.0000 0.0000 0.4846 1
O1 0.0008 0.3030 0.8786 1
O2 0.0273 0.7394 0.3850 1
```

Largest 10 diffraction maxima, sorted by position, 2θ from 15° to 90°:
2theta  I_rel  index
17.80  16  1 0 1
20.33  19  0 1 2
28.35  97  1 0 4
29.45  100  1 1 0
34.17  16  0 0 6
41.34  41  0 2 4
45.75  33  2 -1 6
51.56  42  3 -1 4
52.23  29  3 0 0
68.69  16  1 3 4


[9]
This entry pairs a crystal structure of TaTi2CdO8 with its computed powder diffractogram. Radiation: Cu Kα X-rays. Structure: a crystal structure in Alexandria, relaxed with PBE.
Intensities are scaled so that the largest is 100.

Atomic structure:
```
data_TaTi2CdO8
_chemical_formula_sum 'Ta2 Ti4 Cd2 O16'
_symmetry_space_group_name_H-M 'C m m m'
_symmetry_Int_Tables_number 65
_symmetry_space_group_name_Hall '-C 2 2'
_cell_length_a 6.7135
_cell_length_b 6.8367
_cell_length_c 6.2835
_cell_angle_alpha 90.00
_cell_angle_beta 90.00
_cell_angle_gamma 90.00
loop_
_atom_site_label
_atom_site_fract_x
_atom_site_fract_y
_atom_site_fract_z
_atom_site_occupancy
Ta1 0.0000 0.0000 0.0000 1
Ti1 0.0000 0.5000 0.2617 1
Cd1 0.0000 0.0000 0.5000 1
O1 0.0000 0.2995 0.0000 1
O2 0.0000 0.3244 0.5000 1
O3 0.2132 0.0000 0.2184 1
```

Largest 10 diffraction maxima, sorted by position, 2θ from 15° to 90°:
2theta  I_rel  index
18.52  62  1 1 0
26.07  71  0 2 0
26.55  63  2 0 0
34.13  100  1 1 2
37.55  26  2 2 0
39.28  28  2 0 2
41.86  17  1 3 0
51.37  48  1 3 2
51.92  39  3 1 2
65.59  35  3 3 2